Record 1
Computed X-ray powder pattern of Si3Ir5 for a wavelength of 1.5418 Å, from DFT lattice parameters and positions (GGA-PBE).
Kinematic intensities with the Lorentz-polarization factor, no thermal factor.

Cell and atoms:
Lattice parameters (Å, degrees): 5.7037 6.9375 6.9544 80.58 65.83 66.24
Positions (direct):
Si  0.0000  0.0000  0.0000
Si  0.0340  0.5021  0.1616
Si  0.3381  0.9999  0.3236
Si  0.4988  0.3402  0.6616
Si  0.5339  0.5018  0.1620
Si  0.8364  0.6623  0.6616
Ir  0.0108  0.3501  0.8785
Ir  0.0808  0.7827  0.3175
Ir  0.2304  0.3491  0.4449
Ir  0.3616  0.6518  0.8833
Ir  0.4397  0.0002  0.6632
Ir  0.5056  0.2202  0.0144
Ir  0.5823  0.6529  0.4405
Ir  0.7369  0.7830  0.0060
Ir  0.8598  0.2210  0.3089
Ir  0.9344  0.0132  0.6617

Peak list (10 most intense, 2θ = 10–80°, in order of rising 2θ)
Position (°2θ)	d_spacing	I (rel.)
27.24	3.274	391
31.37	2.852	1000
31.52	2.839	796
39.51	2.281	601
42.63	2.121	599
42.78	2.114	553
44.44	2.039	659
44.55	2.034	427
44.66	2.029	609
45.18	2.007	707

Record 2
Computed X-ray powder pattern of Ba2Ga3PbAu12 for a wavelength of 1.5418 Å, from DFT lattice parameters and positions (GGA-PBE).
Kinematic intensities with the Lorentz-polarization factor, no thermal factor.

Cell and atoms:
Lattice parameters (Å, degrees): 11.5399 11.5399 11.5399 34.16 34.16 34.16
Positions (direct):
Ba  0.1391  0.1391  0.1391
Ba  0.8609  0.8609  0.8609
Ga  0.0000  0.5000  0.5000
Ga  0.5000  0.0000  0.5000
Ga  0.5000  0.5000  0.0000
Pb  0.5000  0.5000  0.5000
Au  0.0721  0.6206  0.6206
Au  0.0946  0.0946  0.6795
Au  0.0946  0.6795  0.0946
Au  0.3205  0.9054  0.9054
Au  0.3794  0.3794  0.9279
Au  0.3794  0.9279  0.3794
Au  0.6206  0.0721  0.6206
Au  0.6206  0.6206  0.0721
Au  0.6795  0.0946  0.0946
Au  0.9054  0.3205  0.9054
Au  0.9054  0.9054  0.3205
Au  0.9279  0.3794  0.3794

Peak list (10 most intense, 2θ = 10–80°, in order of rising 2θ)
Position (°2θ)	d_spacing	I (rel.)
18.64	4.762	535
27.57	3.235	279
32.43	2.761	1000
33.91	2.644	486
37.79	2.381	980
41.41	2.180	312
47.20	1.926	294
54.12	1.694	437
57.40	1.605	262
77.94	1.226	240

Record 3
Computed X-ray powder pattern of Cr2FeRh2 for a wavelength of 1.5418 Å, from DFT lattice parameters and positions (GGA-PBE).
Kinematic intensities with the Lorentz-polarization factor, no thermal factor.

Cell and atoms:
Lattice parameters (Å, degrees): 6.7263 6.7263 4.0580 101.33 101.33 126.90
Positions (direct):
Cr  0.0933  0.6292  0.8778
Cr  0.3708  0.9067  0.6222
Cr  0.6292  0.0933  0.3778
Cr  0.9067  0.3708  0.1222
Fe  0.4132  0.5868  0.2500
Fe  0.5868  0.4132  0.7500
Rh  0.1133  0.2670  0.6001
Rh  0.2670  0.1133  0.1001
Rh  0.7330  0.8867  0.8999
Rh  0.8867  0.7330  0.3999

Peak list (10 most intense, 2θ = 10–80°, in order of rising 2θ)
Position (°2θ)	d_spacing	I (rel.)
33.18	2.700	96
34.83	2.576	538
38.81	2.320	97
42.03	2.150	1000
43.75	2.069	535
45.21	2.006	368
45.63	1.988	364
51.32	1.780	221
72.22	1.308	142
76.62	1.244	211

Record 4
Computed X-ray powder pattern of Pm6CoNi for a wavelength of 1.5418 Å, from DFT lattice parameters and positions (GGA-PBE).
Kinematic intensities with the Lorentz-polarization factor, no thermal factor.

Cell and atoms:
Lattice parameters (Å, degrees): 6.5609 6.5609 6.7615 99.38 99.38 117.85
Positions (direct):
Pm  0.0721  0.4099  0.2469
Pm  0.2528  0.2528  0.7561
Pm  0.4099  0.0721  0.2469
Pm  0.5901  0.9279  0.7531
Pm  0.7472  0.7472  0.2439
Pm  0.9279  0.5901  0.7531
Co  0.0000  0.0000  0.0000
Ni  0.5000  0.5000  0.5000

Peak list (10 most intense, 2θ = 10–80°, in order of rising 2θ)
Position (°2θ)	d_spacing	I (rel.)
27.79	3.210	863
28.85	3.094	787
32.63	2.745	513
32.92	2.721	1000
45.85	1.979	196
47.03	1.932	732
48.61	1.873	167
55.09	1.667	257
56.91	1.618	241
59.77	1.547	178